No. 1
This entry pairs a crystal structure of SmCu5Ag with its simulated powder XRD pattern. Radiation: Cu Kα (weighted mean of Kα1 and Kα2). Structure: a DFT-relaxed cell (GGA-PBE, Alexandria).
No peak broadening, texture or thermal motion is included.

Peak list (8 most intense, 10 to 80 degrees two-theta, in order of rising 2θ)
- 31.25°, intensity 19
- 35.37°, intensity 23
- 36.23°, intensity 25
- 38.25°, intensity 100
- 42.73°, intensity 20
- 44.89°, intensity 39
- 45.65°, intensity 27
- 66.51°, intensity 16

Cell and atoms:
```
28
Lattice="8.246 0.000 0.000 0.000 5.076 0.000 0.000 0.000 10.399" Properties=species:S:1:pos:R:3 pbc="T T T"
Sm 2.004 1.269 0.668
Sm 2.119 3.807 5.867
Sm 6.127 1.269 4.531
Sm 6.241 3.807 9.731
Cu 0.457 3.807 1.108
Cu 0.556 0.009 3.258
Cu 0.556 2.529 3.258
Cu 0.724 1.269 5.375
Cu 1.526 1.269 7.759
Cu 2.597 3.807 2.560
Cu 3.399 3.807 0.176
Cu 3.567 2.547 8.457
Cu 3.567 5.067 8.457
Cu 3.666 1.269 6.308
Cu 4.579 3.807 4.091
Cu 4.679 0.009 1.941
Cu 4.679 2.529 1.941
Cu 4.847 1.269 10.223
Cu 5.649 1.269 7.839
Cu 6.720 3.807 2.639
Cu 7.522 3.807 5.024
Cu 7.689 2.547 7.141
Cu 7.689 5.067 7.141
Cu 7.789 1.269 9.290
Ag 1.141 3.807 8.962
Ag 2.982 1.269 3.763
Ag 5.264 3.807 6.636
Ag 7.104 1.269 1.436
```



No. 2
This entry pairs a crystal structure of HoPuCd4 with its simulated powder XRD pattern. Radiation: Cu Kα (weighted mean of Kα1 and Kα2). Structure: a DFT-relaxed cell (GGA-PBE, Alexandria).
No peak broadening, texture or thermal motion is included.

Peak list (8 most intense, 10 to 80 degrees two-theta, in order of rising 2θ)
- 20.22°, intensity 12
- 34.08°, intensity 100
- 35.41°, intensity 84
- 49.96°, intensity 34
- 62.65°, intensity 11
- 62.76°, intensity 23
- 63.52°, intensity 10
- 68.00°, intensity 25

Cell and atoms:
```
12
Lattice="3.286 -8.770 0.000 3.286 8.770 0.000 0.000 0.000 5.077" Properties=species:S:1:pos:R:3 pbc="T T T"
Ho 3.286 6.560 3.807
Ho 3.286 -6.560 1.269
Pu 3.286 2.203 1.269
Pu 3.286 -2.203 3.807
Cd 1.638 3.651 3.807
Cd 1.639 0.725 3.807
Cd 1.639 -0.725 1.269
Cd 1.638 -3.651 1.269
Cd 4.934 3.651 3.807
Cd 4.933 0.725 3.807
Cd 4.933 -0.725 1.269
Cd 4.934 -3.651 1.269
```



No. 3
This entry pairs a crystal structure of Hg3SI2 with its simulated powder XRD pattern. Radiation: Cu Kα (weighted mean of Kα1 and Kα2). Structure: a DFT-relaxed cell (GGA-PBE, Alexandria).
No peak broadening, texture or thermal motion is included.

Peak list (8 most intense, 10 to 80 degrees two-theta, in order of rising 2θ)
- 24.86°, intensity 100
- 25.14°, intensity 47
- 27.79°, intensity 63
- 29.77°, intensity 40
- 31.27°, intensity 66
- 37.33°, intensity 27
- 40.78°, intensity 68
- 43.14°, intensity 47

Cell and atoms:
```
12
Lattice="6.378 -3.908 0.000 6.378 3.908 0.000 -1.431 0.000 8.394" Properties=species:S:1:pos:R:3 pbc="T T T"
Hg 3.994 1.527 2.470
Hg 5.305 2.477 6.296
Hg 8.047 1.527 1.727
Hg 3.279 -1.527 6.667
Hg 6.020 -2.477 2.099
Hg 7.332 -1.527 5.924
S 6.020 0.006 2.099
S 5.305 -0.006 6.296
I 0.739 0.061 8.229
I 1.455 -0.061 4.032
I 9.871 0.061 4.362
I 10.586 -0.061 0.165
```